[1]
Starting from a PBE-relaxed structure, the X-ray powder pattern of SmDyAg2Sn2 was calculated for λ = 1.5418 Å (Cu Kα).

The 10 most intense peaks (10° ≤ 2θ ≤ 80°), most intense first:
- 32.5 deg, rel. 100
- 37.9 deg, rel. 77
- 50.8 deg, rel. 29
- 65.0 deg, rel. 27
- 42.7 deg, rel. 16
- 63.6 deg, rel. 15
- 68.4 deg, rel. 14
- 24.7 deg, rel. 9
- 67.0 deg, rel. 7
- 71.7 deg, rel. 7

```
data_SmDyAg2Sn2
_chemical_formula_sum 'Sm1 Dy1 Ag2 Sn2'
_cell_length_a 4.7501
_cell_length_b 4.7501
_cell_length_c 7.4209
_cell_angle_alpha 90.00
_cell_angle_beta 90.00
_cell_angle_gamma 120.00
_space_group_name_H-M_alt 'P 1'
_space_group_IT_number 1
loop_
_space_group_symop_operation_xyz
'x,y,z'
loop_
_atom_site_label
_atom_site_fract_x
_atom_site_fract_y
_atom_site_fract_z
Sm1 0.0000 0.0000 0.0000
Dy1 0.0000 0.0000 0.5009
Ag1 0.3333 0.6667 0.6884
Ag2 0.6667 0.3333 0.1978
Sn1 0.3333 0.6667 0.2824
Sn2 0.6667 0.3333 0.7762
```

***

[2]
Starting from a PBE-relaxed structure, the X-ray powder pattern of HfNbSi4Au2 was calculated for λ = 1.5418 Å (Cu Kα).

The 10 most intense peaks (10° ≤ 2θ ≤ 80°), most intense first:
- 38.9 deg, rel. 100
- 35.0 deg, rel. 36
- 48.2 deg, rel. 29
- 25.5 deg, rel. 23
- 28.7 deg, rel. 21
- 38.7 deg, rel. 20
- 63.4 deg, rel. 19
- 60.6 deg, rel. 14
- 57.1 deg, rel. 13
- 70.6 deg, rel. 9

```
data_HfNbSi4Au2
_chemical_formula_sum 'Hf1 Nb1 Si4 Au2'
_cell_length_a 3.7743
_cell_length_b 3.7743
_cell_length_c 9.3178
_cell_angle_alpha 90.00
_cell_angle_beta 90.00
_cell_angle_gamma 90.00
_space_group_name_H-M_alt 'P 1'
_space_group_IT_number 1
loop_
_space_group_symop_operation_xyz
'x,y,z'
loop_
_atom_site_label
_atom_site_fract_x
_atom_site_fract_y
_atom_site_fract_z
Hf1 0.0000 0.0000 0.0000
Nb1 0.5000 0.5000 0.5684
Si1 0.0000 0.0000 0.4937
Si2 0.0000 0.5000 0.7780
Si3 0.5000 0.0000 0.7780
Si4 0.5000 0.5000 0.0732
Au1 0.0000 0.5000 0.2843
Au2 0.5000 0.0000 0.2843
```

***

[3]
Starting from a PBE-relaxed structure, the X-ray powder pattern of Nd2AlSi was calculated for λ = 1.5418 Å (Cu Kα).

The 10 most intense peaks (10° ≤ 2θ ≤ 80°), most intense first:
- 30.6 deg, rel. 100
- 27.0 deg, rel. 64
- 30.9 deg, rel. 58
- 21.3 deg, rel. 33
- 38.2 deg, rel. 30
- 31.6 deg, rel. 28
- 49.0 deg, rel. 25
- 40.1 deg, rel. 23
- 55.1 deg, rel. 23
- 50.4 deg, rel. 22

```
data_Nd2AlSi
_chemical_formula_sum 'Nd4 Al2 Si2'
_cell_length_a 6.0854
_cell_length_b 4.0775
_cell_length_c 8.8057
_cell_angle_alpha 90.00
_cell_angle_beta 108.27
_cell_angle_gamma 90.00
_space_group_name_H-M_alt 'P 1'
_space_group_IT_number 1
loop_
_space_group_symop_operation_xyz
'x,y,z'
loop_
_atom_site_label
_atom_site_fract_x
_atom_site_fract_y
_atom_site_fract_z
Nd1 0.2056 0.2500 0.4263
Nd2 0.2801 0.7500 0.0683
Nd3 0.7199 0.2500 0.9317
Nd4 0.7944 0.7500 0.5737
Al1 0.3546 0.7500 0.7178
Al2 0.6454 0.2500 0.2822
Si1 0.1475 0.2500 0.7876
Si2 0.8525 0.7500 0.2124
```

***

[4]
Starting from a PBE-relaxed structure, the X-ray powder pattern of Dy2Ho5Lu was calculated for λ = 1.5418 Å (Cu Kα).

The 10 most intense peaks (10° ≤ 2θ ≤ 80°), most intense first:
- 33.1 deg, rel. 100
- 32.1 deg, rel. 24
- 28.8 deg, rel. 24
- 61.6 deg, rel. 23
- 57.8 deg, rel. 20
- 51.0 deg, rel. 20
- 62.2 deg, rel. 16
- 43.6 deg, rel. 16
- 69.4 deg, rel. 4
- 74.6 deg, rel. 3

```
data_Dy2Ho5Lu
_chemical_formula_sum 'Dy2 Ho5 Lu1'
_cell_length_a 5.5818
_cell_length_b 7.1575
_cell_length_c 7.1575
_cell_angle_alpha 60.00
_cell_angle_beta 90.00
_cell_angle_gamma 90.00
_space_group_name_H-M_alt 'P 1'
_space_group_IT_number 1
loop_
_space_group_symop_operation_xyz
'x,y,z'
loop_
_atom_site_label
_atom_site_fract_x
_atom_site_fract_y
_atom_site_fract_z
Dy1 0.0000 0.0000 0.0000
Dy2 0.5000 0.3334 0.3334
Ho1 0.0000 0.5004 0.5004
Ho2 0.0000 0.5004 0.9992
Ho3 0.0000 0.9992 0.5004
Ho4 0.5000 0.3342 0.8328
Ho5 0.5000 0.8328 0.3342
Lu1 0.5000 0.8330 0.8330
```